Record 1
Simulated X-ray diffraction stick pattern
Compound: Pm3AlHg4
Radiation: Cu Ka
Structure: DFT lattice parameters and positions (GGA-PBE)
Neutral-atom scattering factors, no anomalous dispersion.

Largest 10 diffraction maxima, by intensity, 10° ≤ 2θ ≤ 90°:
32.6 deg, I 100; 34.3 deg, I 70; 37.0 deg, I 51; 29.0 deg, I 38; 60.0 deg, I 36; 62.8 deg, I 28; 24.5 deg, I 25; 37.9 deg, I 24; 62.2 deg, I 22; 29.2 deg, I 21

Atomic structure:
Cell: 9.060 9.060 9.060 Å, 156.29 130.69 55.42°
Fractional positions:
Pm  0.000  0.000  0.000
Pm  0.275  0.775  0.500
Pm  0.725  0.225  0.500
Al  0.500  0.500  0.000
Hg  0.123  0.382  0.741
Hg  0.359  0.618  0.741
Hg  0.641  0.382  0.259
Hg  0.877  0.618  0.259

Record 2
Simulated X-ray diffraction stick pattern
Compound: CrSiC
Radiation: Cu Ka
Structure: DFT lattice parameters and positions (GGA-PBE)
Neutral-atom scattering factors, no anomalous dispersion.

Largest 10 diffraction maxima, by intensity, 10° ≤ 2θ ≤ 90°:
39.8 deg, I 100; 52.6 deg, I 100; 33.0 deg, I 72; 55.0 deg, I 45; 21.0 deg, I 43; 42.7 deg, I 38; 83.0 deg, I 21; 76.3 deg, I 17; 85.6 deg, I 16; 69.3 deg, I 11

Atomic structure:
Cell: 2.683 2.713 4.231 Å, 90.00 90.00 90.00°
Fractional positions:
Cr  0.000  0.000  0.000
Si  0.500  0.000  0.484
C  0.500  0.500  0.813

Record 3
Simulated X-ray diffraction stick pattern
Compound: Pu2Cd3Pd2
Radiation: Cu Ka
Structure: DFT lattice parameters and positions (GGA-PBE)
Neutral-atom scattering factors, no anomalous dispersion.

Largest 10 diffraction maxima, by intensity, 10° ≤ 2θ ≤ 90°:
36.9 deg, I 100; 36.4 deg, I 69; 16.0 deg, I 34; 38.6 deg, I 33; 35.3 deg, I 32; 46.6 deg, I 30; 27.2 deg, I 27; 40.7 deg, I 25; 28.4 deg, I 24; 49.8 deg, I 23

Atomic structure:
Cell: 6.844 6.844 7.951 Å, 122.48 122.48 27.42°
Fractional positions:
Pu  0.202  0.202  0.378
Pu  0.798  0.798  0.622
Cd  0.435  0.435  0.088
Cd  0.500  0.500  0.500
Cd  0.565  0.565  0.912
Pd  0.193  0.193  0.802
Pd  0.807  0.807  0.198

Record 4
Simulated X-ray diffraction stick pattern
Compound: Sm6In2CO
Radiation: Cu Ka
Structure: DFT lattice parameters and positions (GGA-PBE)
Neutral-atom scattering factors, no anomalous dispersion.

Largest 10 diffraction maxima, by intensity, 10° ≤ 2θ ≤ 90°:
31.1 deg, I 100; 36.0 deg, I 56; 61.7 deg, I 42; 51.9 deg, I 39; 84.7 deg, I 18; 87.5 deg, I 18; 64.8 deg, I 13; 76.4 deg, I 6; 17.8 deg, I 2; 40.4 deg, I 1

Atomic structure:
Cell: 7.052 7.052 7.052 Å, 60.00 60.00 60.00°
Fractional positions:
Sm  0.248  0.248  0.752
Sm  0.248  0.752  0.248
Sm  0.248  0.752  0.752
Sm  0.752  0.248  0.248
Sm  0.752  0.248  0.752
Sm  0.752  0.752  0.248
In  0.250  0.250  0.250
In  0.750  0.750  0.750
C  0.000  0.000  0.000
O  0.500  0.500  0.500